(1)
# K2CeBiS4
Theoretical powder diffractogram, Cu Kα, 1.54184 Å. Input: a GGA-PBE-relaxed structure.

Atomic structure:
Lattice parameters (Å, degrees): 7.248 4.218 7.762 90.00 108.24 90.00
Fractional positions:
K  0.000  0.000  0.000
K  0.500  0.500  0.000
Ce  0.000  0.500  0.500
Bi  0.500  0.000  0.500
S  0.234  0.000  0.707
S  0.263  0.500  0.291
S  0.737  0.500  0.709
S  0.766  0.000  0.293

Main lines, in order of rising 2θ (10 to 90 degrees two-theta):
two_theta, d (Å), I/Imax, (hkl)
12.01, 7.372, 74.4, 0 0 1
24.75, 3.597, 20.2, 1 1 0
25.72, 3.463, 25.6, 1 1 -1
29.39, 3.039, 100.0, 1 1 1
40.95, 2.204, 24.1, 1 1 -3
43.15, 2.097, 23.2, 3 1 -1

---

(2)
# La3CeBi4
Theoretical powder diffractogram, Cu Kα, 1.54184 Å. Input: a GGA-PBE-relaxed structure.

Atomic structure:
Lattice parameters (Å, degrees): 9.367 13.244 4.683 90.00 90.00 90.00
Fractional positions:
La  0.000  0.000  0.000
La  0.250  0.250  0.500
La  0.250  0.750  0.500
La  0.500  0.500  0.000
La  0.750  0.250  0.500
La  0.750  0.750  0.500
Ce  0.000  0.500  0.000
Ce  0.500  0.000  0.000
Bi  0.000  0.252  0.000
Bi  0.000  0.748  0.000
Bi  0.246  0.500  0.500
Bi  0.254  0.000  0.500
Bi  0.500  0.248  0.000
Bi  0.500  0.752  0.000
Bi  0.746  0.000  0.500
Bi  0.754  0.500  0.500

Main lines, in order of rising 2θ (10 to 90 degrees two-theta):
two_theta, d (Å), I/Imax, (hkl)
26.92, 3.311, 100.0, 2 0 1
38.45, 2.342, 79.0, 0 0 2
47.56, 1.912, 28.9, 0 4 2
62.74, 1.481, 38.2, 2 0 3
69.54, 1.352, 28.3, 2 4 3
88.60, 1.104, 19.7, 0 4 4